# MnCr8Cu3S16
Theoretical X-ray diffraction stick pattern, copper Kα. Input: the GGA-PBE geometry in Alexandria.

Main lines, low angle first (10° ≤ 2θ ≤ 90°):
d (Å), I (rel.)
5.720, 7
3.503, 37
2.987, 100
2.477, 45
2.022, 14
1.907, 46
1.751, 87
1.511, 8
1.290, 14
1.238, 12
1.144, 8
1.108, 10

Cell: 12.122 12.122 12.122 Å, 33.61 33.61 33.61°
Fractional coordinates of all 28 atoms:
Mn1 0.000 0.000 0.000
Cr1 0.186 0.186 0.186
Cr2 0.433 0.433 0.941
Cr3 0.433 0.941 0.433
Cr4 0.443 0.936 0.936
Cr5 0.690 0.690 0.690
Cr6 0.936 0.443 0.936
Cr7 0.936 0.936 0.443
Cr8 0.941 0.433 0.433
Cu1 0.375 0.375 0.375
Cu2 0.500 0.500 0.500
Cu3 0.875 0.875 0.875
S1 0.044 0.575 0.575
S2 0.068 0.068 0.068
S3 0.074 0.074 0.541
S4 0.074 0.541 0.074
S5 0.301 0.301 0.831
S6 0.301 0.831 0.301
S7 0.308 0.308 0.308
S8 0.337 0.797 0.797
S9 0.541 0.074 0.074
S10 0.566 0.566 0.566
S11 0.575 0.044 0.575
S12 0.575 0.575 0.044
S13 0.797 0.337 0.797
S14 0.797 0.797 0.337
S15 0.809 0.809 0.809
S16 0.831 0.301 0.301

# MnCr8Cu3S16
Theoretical X-ray diffraction stick pattern, copper Kα. Input: the GGA-PBE geometry in Alexandria.

Main lines, low angle first (10° ≤ 2θ ≤ 90°):
d (Å), I (rel.)
3.502, 37
2.987, 100
2.476, 45
2.022, 14
1.906, 46
1.751, 87
1.511, 11
1.430, 8
1.290, 16
1.238, 12
1.144, 11
1.107, 10

Cell: 7.003 7.003 9.909 Å, 90.00 90.00 90.00°
Fractional coordinates of all 28 atoms:
Mn1 0.000 0.000 0.000
Cr1 0.000 0.251 0.379
Cr2 0.000 0.749 0.379
Cr3 0.251 0.000 0.621
Cr4 0.257 0.500 0.126
Cr5 0.500 0.257 0.874
Cr6 0.500 0.743 0.874
Cr7 0.743 0.500 0.126
Cr8 0.749 0.000 0.621
Cu1 0.000 0.500 0.749
Cu2 0.500 0.000 0.251
Cu3 0.500 0.500 0.500
S1 0.000 0.234 0.618
S2 0.000 0.270 0.136
S3 0.000 0.730 0.136
S4 0.000 0.766 0.618
S5 0.234 0.000 0.382
S6 0.234 0.500 0.367
S7 0.265 0.500 0.883
S8 0.270 0.000 0.864
S9 0.500 0.234 0.633
S10 0.500 0.265 0.117
S11 0.500 0.735 0.117
S12 0.500 0.766 0.633
S13 0.730 0.000 0.864
S14 0.735 0.500 0.883
S15 0.766 0.000 0.382
S16 0.766 0.500 0.367

# CrCuMo2
Theoretical X-ray diffraction stick pattern, copper Kα. Input: the GGA-PBE geometry in Alexandria.

Main lines, low angle first (10° ≤ 2θ ≤ 90°):
d (Å), I (rel.)
3.445, 9
2.208, 100
2.083, 2
1.947, 33
1.849, 14
1.695, 3
1.422, 1
1.376, 10
1.341, 19
1.168, 24
1.125, 11
1.104, 10

Cell: 4.610 4.610 4.610 Å, 130.05 130.05 73.33°
Fractional coordinates of all 4 atoms:
Cr1 0.000 0.000 0.000
Cu1 0.250 0.750 0.500
Mo1 0.500 0.500 0.000
Mo2 0.750 0.250 0.500